Record 1
Diffraction record for KCdBi2Pd2. The PXRD pattern is calculated, not measured: it uses a cell relaxed with GGA-PBE and Cu Kα (weighted mean of Kα1 and Kα2).
Lines closer than 0.1° are merged.

Top 10 peaks for 10° ≤ 2θ ≤ 80°, by intensity:
2theta  d (Å)  I (rel.)  index
31.41  2.848  1000  1 0 2
12.87  6.880  791  0 0 1
35.35  2.539  731  2 0 0
48.01  1.895  618  2 1 2
36.16  2.484  476  1 1 2
17.47  5.078  411  1 0 0
24.80  3.590  357  1 1 0
50.86  1.795  259  2 2 0
37.77  2.382  233  2 0 1
65.56  1.424  209  2 0 4

Structure:
Cell lengths 5.078, 5.078, 6.880 Å; angles 90.00, 90.00, 90.00 degrees
Space group P4/mmm (No. 123)
One atom of each set of equivalent atoms:
K 0.000 0.000 0.000 x1
Cd 0.000 0.000 0.500 x1
Bi 0.500 0.500 0.270 x2
Pd 0.000 0.500 0.500 x2

***

Record 2
Diffraction record for K2RbCdBi2. The PXRD pattern is calculated, not measured: it uses a cell relaxed with GGA-PBE and Cu Kα (weighted mean of Kα1 and Kα2).
Lines closer than 0.1° are merged.

Top 10 peaks for 10° ≤ 2θ ≤ 80°, by intensity:
2theta  d (Å)  I (rel.)  index
19.08  4.651  1000  1 2 1
28.32  3.151  963  1 4 1
11.93  7.417  676  0 2 0
29.93  2.985  570  2 0 2
10.90  8.114  510  1 1 0
33.82  2.650  385  0 4 2
30.35  2.945  361  2 4 0
37.07  2.425  300  3 1 2
32.33  2.769  255  2 2 2
44.39  2.041  249  1 4 3

Structure:
Cell lengths 9.693, 14.834, 7.579 Å; angles 90.00, 90.00, 90.00 degrees
Space group Ibam (No. 72)
One atom of each set of equivalent atoms:
K 0.162 0.177 0.000 x8
Rb 0.000 0.500 0.250 x4
Cd 0.000 0.000 0.250 x4
Bi 0.194 0.096 0.500 x8

***

Record 3
Diffraction record for KRb2CdBi2. The PXRD pattern is calculated, not measured: it uses a cell relaxed with GGA-PBE and Cu Kα (weighted mean of Kα1 and Kα2).
Lines closer than 0.1° are merged.

Top 10 peaks for 10° ≤ 2θ ≤ 80°, by intensity:
2theta  d (Å)  I (rel.)  index
26.66  3.344  1000  1 4 1
31.26  2.861  870  2 0 2
11.60  7.626  789  1 1 0
18.88  4.701  724  1 2 1
31.89  2.807  594  0 4 2
46.87  1.938  559  1 8 1
30.03  2.975  531  2 4 0
10.73  8.242  475  0 2 0
23.21  3.833  400  0 0 2
39.64  2.274  358  3 1 2

Structure:
Cell lengths 8.601, 16.484, 7.666 Å; angles 90.00, 90.00, 90.00 degrees
Space group Ibam (No. 72)
One atom of each set of equivalent atoms:
K 0.000 0.000 0.250 x4
Rb 0.211 0.328 0.000 x8
Cd 0.000 0.500 0.250 x4
Bi 0.200 0.402 0.500 x8

***

Record 4
Diffraction record for KCdSnBi. The PXRD pattern is calculated, not measured: it uses a cell relaxed with GGA-PBE and Cu Kα (weighted mean of Kα1 and Kα2).
Lines closer than 0.1° are merged.

Top 10 peaks for 10° ≤ 2θ ≤ 80°, by intensity:
2theta  d (Å)  I (rel.)  index
31.74  2.820  1000  2 2 0
56.53  1.628  387  4 2 2
45.50  1.994  185  4 0 0
75.38  1.261  168  6 2 0
19.28  4.604  133  1 1 1
22.30  3.987  126  2 0 0
66.30  1.410  120  4 4 0
37.40  2.405  84  3 1 1
51.23  1.783  58  4 2 0
39.13  2.302  42  2 2 2

Structure:
Cell lengths 7.975, 7.975, 7.975 Å; angles 90.00, 90.00, 90.00 degrees
Space group F-43m (No. 216)
One atom of each set of equivalent atoms:
K 0.000 0.000 0.000 x4
Cd 0.250 0.250 0.750 x4
Sn 0.000 0.000 0.500 x4
Bi 0.250 0.250 0.250 x4

***

Record 5
Diffraction record for La2Cd3Bi3. The PXRD pattern is calculated, not measured: it uses a cell relaxed with GGA-PBE and Cu Kα (weighted mean of Kα1 and Kα2).
Lines closer than 0.1° are merged.

Top 10 peaks for 10° ≤ 2θ ≤ 80°, by intensity:
2theta  d (Å)  I (rel.)  index
31.81  2.813  1000  1 1 2
34.73  2.583  201  0 2 0
37.47  2.400  163  2 0 0
60.44  1.532  163  1 3 2
38.41  2.344  146  0 0 4
64.08  1.453  134  3 1 2
52.01  1.758  127  2 2 0
52.74  1.736  117  0 2 4
66.48  1.406  117  2 2 4
65.35  1.428  116  1 1 6

Structure:
Cell lengths 4.801, 5.165, 9.375 Å; angles 90.00, 90.00, 90.00 degrees
Space group Pmmm (No. 47)
One atom of each set of equivalent atoms:
La 0.000 0.000 0.247 x2
Cd 0.000 0.500 0.500 x1
Cd 0.500 0.500 0.270 x2
Bi 0.000 0.500 0.000 x1
Bi 0.500 0.000 0.000 x1
Bi 0.500 0.000 0.500 x1

***

Record 6
Diffraction record for LaCd3Bi3. The PXRD pattern is calculated, not measured: it uses a cell relaxed with GGA-PBE and Cu Kα (weighted mean of Kα1 and Kα2).
Lines closer than 0.1° are merged.

Top 10 peaks for 10° ≤ 2θ ≤ 80°, by intensity:
2theta  d (Å)  I (rel.)  index
35.75  2.512  1000  1 1 -3
38.81  2.320  745  2 1 1
20.53  4.327  659  1 1 0
37.49  2.399  570  1 -2 2
31.99  2.798  566  -1 2 1
29.28  3.050  563  1 0 3
23.90  3.723  504  0 0 3
32.06  2.791  491  1 3 2
22.33  3.982  440  0 2 2
40.87  2.208  285  0 4 1

Structure:
Cell lengths 4.641, 9.171, 11.904 Å; angles 71.15, 78.86, 75.45 degrees
Space group P-1 (No. 2)
One atom of each set of equivalent atoms:
La 0.246 0.250 0.259 x2
Cd 0.183 0.619 0.016 x2
Cd 0.186 0.045 0.583 x2
Cd 0.447 0.850 0.252 x2
Bi 0.093 0.953 0.865 x2
Bi 0.369 0.450 0.810 x2
Bi 0.376 0.723 0.523 x2

***

Record 7
Diffraction record for LaCdBi3. The PXRD pattern is calculated, not measured: it uses a cell relaxed with GGA-PBE and Cu Kα (weighted mean of Kα1 and Kα2).
Lines closer than 0.1° are merged.

Top 10 peaks for 10° ≤ 2θ ≤ 80°, by intensity:
2theta  d (Å)  I (rel.)  index
29.96  2.982  1000  2 2 0
32.94  2.719  647  3 0 2
31.38  2.851  643  5 0 0
33.17  2.701  492  3 2 0
29.72  3.006  490  2 0 2
26.78  3.329  474  3 1 1
38.59  2.333  437  0 2 2
32.76  2.734  358  2 1 2
39.12  2.303  293  1 2 2
50.55  1.806  277  5 2 2

Structure:
Cell lengths 14.253, 6.567, 6.632 Å; angles 90.00, 90.00, 90.00 degrees
Space group Pbcm (No. 57)
One atom of each set of equivalent atoms:
La 0.183 0.009 0.250 x4
Cd 0.382 0.250 0.000 x4
Bi 0.000 0.250 0.000 x4
Bi 0.233 0.515 0.250 x4
Bi 0.420 0.679 0.750 x4

***

Record 8
Diffraction record for Li2Cd4Bi. The PXRD pattern is calculated, not measured: it uses a cell relaxed with GGA-PBE and Cu Kα (weighted mean of Kα1 and Kα2).
Lines closer than 0.1° are merged.

Top 10 peaks for 10° ≤ 2θ ≤ 80°, by intensity:
2theta  d (Å)  I (rel.)  index
33.99  2.637  1000  3 1 0
37.37  2.407  875  2 1 3
18.78  4.725  684  0 0 2
25.68  3.469  655  2 1 1
39.11  2.303  563  3 1 2
67.37  1.390  338  6 0 0
41.16  2.193  272  1 1 4
48.84  1.865  243  4 2 0
24.13  3.688  220  1 1 2
63.07  1.474  201  4 4 0

Structure:
Cell lengths 8.340, 8.340, 9.450 Å; angles 90.00, 90.00, 90.00 degrees
Space group I4/mcm (No. 140)
One atom of each set of equivalent atoms:
Li 0.151 0.349 0.000 x8
Cd 0.147 0.353 0.343 x16
Bi 0.000 0.000 0.250 x4

***

Record 9
Diffraction record for Li2Cd3Bi. The PXRD pattern is calculated, not measured: it uses a cell relaxed with GGA-PBE and Cu Kα (weighted mean of Kα1 and Kα2).
Lines closer than 0.1° are merged.

Top 10 peaks for 10° ≤ 2θ ≤ 80°, by intensity:
2theta  d (Å)  I (rel.)  index
37.95  2.371  1000  2 2 -3
36.55  2.459  849  2 2 1
21.04  4.223  738  2 0 0
22.06  4.030  635  1 1 -2
26.16  3.406  566  0 2 1
38.65  2.330  470  4 0 -2
22.17  4.009  434  2 0 -2
41.35  2.184  360  0 0 4
16.30  5.437  303  1 1 -1
29.33  3.045  286  1 1 2

Structure:
Cell lengths 9.339, 7.398, 9.659 Å; angles 90.00, 115.27, 90.00 degrees
Space group C2/c (No. 15)
One atom of each set of equivalent atoms:
Li 0.217 0.133 0.235 x8
Cd 0.000 0.154 0.750 x4
Cd 0.116 0.137 0.504 x8
Bi 0.000 0.424 0.250 x4

***

Record 10
Diffraction record for Li8Cd3Bi4. The PXRD pattern is calculated, not measured: it uses a cell relaxed with GGA-PBE and Cu Kα (weighted mean of Kα1 and Kα2).
Lines closer than 0.1° are merged.

Top 10 peaks for 10° ≤ 2θ ≤ 80°, by intensity:
2theta  d (Å)  I (rel.)  index
25.98  3.430  1000  2 0 0
37.06  2.426  919  2 2 0
60.34  1.534  394  4 2 0
22.45  3.961  331  1 1 1
66.80  1.400  330  4 2 2
45.82  1.980  296  2 2 2
43.76  2.069  191  3 1 1
53.42  1.715  161  4 0 0
78.94  1.213  104  4 4 0
58.66  1.574  85  3 3 1

Structure:
Cell lengths 6.861, 6.861, 6.861 Å; angles 90.00, 90.00, 90.00 degrees
Space group Pm-3m (No. 221)
One atom of each set of equivalent atoms:
Li 0.235 0.235 0.235 x8
Cd 0.000 0.500 0.500 x3
Bi 0.000 0.000 0.500 x3
Bi 0.500 0.500 0.500 x1

***

Record 11
Diffraction record for Na2LiCd3Bi4. The PXRD pattern is calculated, not measured: it uses a cell relaxed with GGA-PBE and Cu Kα (weighted mean of Kα1 and Kα2).
Lines closer than 0.1° are merged.

Top 10 peaks for 10° ≤ 2θ ≤ 80°, by intensity:
2theta  d (Å)  I (rel.)  index
38.15  2.359  1000  1 1 4
19.23  4.615  913  1 0 1
29.10  3.069  747  1 1 2
36.31  2.474  700  2 0 0
26.41  3.375  404  1 1 1
66.54  1.405  398  3 1 4
13.86  6.387  360  0 0 2
27.64  3.228  305  1 0 3
39.70  2.270  270  1 0 5
41.41  2.181  264  2 1 1

Structure:
Cell lengths 4.949, 4.949, 12.774 Å; angles 90.00, 90.00, 90.00 degrees
Space group P-4m2 (No. 115)
One atom of each set of equivalent atoms:
Na 0.000 0.500 0.219 x2
Li 0.500 0.500 0.000 x1
Cd 0.000 0.000 0.000 x1
Cd 0.000 0.500 0.645 x2
Bi 0.000 0.000 0.500 x1
Bi 0.000 0.500 0.869 x2
Bi 0.500 0.500 0.500 x1

***

Record 12
Diffraction record for Na2LiCd2Bi2. The PXRD pattern is calculated, not measured: it uses a cell relaxed with GGA-PBE and Cu Kα (weighted mean of Kα1 and Kα2).
Lines closer than 0.1° are merged.

Top 10 peaks for 10° ≤ 2θ ≤ 80°, by intensity:
2theta  d (Å)  I (rel.)  index
32.77  2.733  1000  1 0 7
35.16  2.553  936  1 1 0
20.42  4.350  438  1 0 1
21.38  4.155  367  0 1 2
41.81  2.160  346  1 1 6
48.82  1.865  327  0 2 7
61.58  1.506  324  2 1 7
24.90  3.577  312  1 0 4
21.92  4.056  304  0 0 6
63.08  1.474  170  3 0 0

Structure:
Cell lengths 5.1053, 5.1053, 24.3340 Å; angles 90.00, 90.00, 120.00 degrees
Space group R-3m (No. 166, hexagonal axes)
One atom of each set of equivalent atoms:
Na 0.0000 0.0000 0.1388 x6
Li 0.0000 0.0000 0.0000 x3
Cd 0.0000 0.0000 0.4336 x6
Bi 0.0000 0.0000 0.2764 x6

***

Record 13
Diffraction record for Li2Cd2BiO6. The PXRD pattern is calculated, not measured: it uses a cell relaxed with GGA-PBE and Cu Kα (weighted mean of Kα1 and Kα2).
Lines closer than 0.1° are merged.

Top 10 peaks for 10° ≤ 2θ ≤ 80°, by intensity:
2theta  d (Å)  I (rel.)  index
25.31  3.518  1000  1 0 1
47.93  1.898  429  2 -1 2
33.11  2.705  398  1 1 0
42.13  2.145  265  2 0 1
54.61  1.681  247  2 1 1
59.15  1.562  132  3 0 0
55.33  1.660  119  1 0 3
33.65  2.663  101  0 0 2
75.26  1.263  96  4 -1 1
75.87  1.254  95  3 -1 3

Structure:
Cell lengths 5.4109, 5.4109, 5.3269 Å; angles 90.00, 90.00, 120.00 degrees
Space group P-31m (No. 162)
One atom of each set of equivalent atoms:
Li 0.3333 0.6667 0.0000 x2
Cd 0.3333 0.6667 0.5000 x2
Bi 0.0000 0.0000 0.0000 x1
O 0.0000 0.3390 0.2191 x6